Structure and calculated powder diffractogram of YAl4Ni4 (a cell relaxed with GGA-PBE; λ = 1.5418 Å (Cu Kα)).

Cell and atoms:
a b c (Å): 8.1764 8.1764 4.4092
angles (deg): 90.00 90.00 90.00
Space group I4/m (No. 87)
Inequivalent atoms, fractional coordinates:
Y 0.0000 0.0000 0.0000 (multiplicity 2)
Al 0.1061 0.6173 0.5000 (multiplicity 8)
Ni 0.1864 0.6874 0.0000 (multiplicity 8)

Principal peaks in the range 2θ = 10–90°, by angle:
2θ/deg, intensity
22.92, 45
30.93, 65
31.79, 96
34.69, 99
40.94, 63
44.95, 60
50.46, 100
52.18, 28
54.72, 51
81.52, 22

=====

Structure and calculated powder diffractogram of Er10Ru10C19 (a cell relaxed with GGA-PBE; λ = 1.5418 Å (Cu Kα)).

Cell and atoms:
a b c (Å): 14.6589 7.2363 10.0349
angles (deg): 90.00 111.44 90.00
Space group Cm (No. 8)
Inequivalent atoms, fractional coordinates:
Er 0.0000 0.0000 0.0000 (multiplicity 2)
Er 0.0011 0.5000 0.0132 (multiplicity 2)
Er 0.1568 0.5000 0.3885 (multiplicity 2)
Er 0.1794 0.0000 0.3887 (multiplicity 2)
Er 0.1884 0.5000 0.7617 (multiplicity 2)
Er 0.1940 0.0000 0.7794 (multiplicity 2)
Er 0.3043 0.5000 0.1370 (multiplicity 2)
Er 0.3212 0.0000 0.1642 (multiplicity 2)
Er 0.4297 0.5000 0.6392 (multiplicity 2)
Er 0.4335 0.0000 0.6133 (multiplicity 2)
Ru 0.0620 0.2130 0.5348 (multiplicity 4)
Ru 0.1511 0.2469 0.9827 (multiplicity 4)
Ru 0.3549 0.2408 0.7950 (multiplicity 4)
Ru 0.3560 0.2838 0.3886 (multiplicity 4)
Ru 0.4888 0.2875 0.2425 (multiplicity 4)
C 0.0028 0.2603 0.8221 (multiplicity 4)
C 0.0639 0.2492 0.7467 (multiplicity 4)
C 0.1136 0.2476 0.1826 (multiplicity 4)
C 0.2140 0.2496 0.2236 (multiplicity 4)
C 0.2168 0.2477 0.5946 (multiplicity 4)
C 0.2859 0.2477 0.9547 (multiplicity 4)
C 0.2967 0.2495 0.5536 (multiplicity 4)
C 0.3849 0.2524 0.0305 (multiplicity 4)
C 0.4657 0.5000 0.3886 (multiplicity 2)
C 0.4683 0.1023 0.3885 (multiplicity 4)

Principal peaks in the range 2θ = 10–90°, by angle:
2θ/deg, intensity
24.29, 14
26.78, 41
31.07, 25
34.85, 55
36.19, 28
36.69, 100
39.63, 19
46.09, 13
50.45, 19
58.03, 12